Starting from a PBE-relaxed structure, the powder diffraction line list of Pr2Dy4YMg was simulated for Cu Kα X-rays.
No peak broadening, texture or thermal motion is included.

Peak list (6 most intense, 2θ = 5–70°, by angle)
- 2θ 30.78, I = 100
- 2θ 35.26, I = 17
- 2θ 35.89, I = 33
- 2θ 51.20, I = 24
- 2θ 60.52, I = 15
- 2θ 61.36, I = 28

Structural model:
abc: 5.0036 5.0036 10.1804
angles: 90.00 90.00 90.00
Space group P4/mmm (No. 123)
Unique sites:
Pr 0.0000 0.0000 0.0000 x1
Pr 0.5000 0.5000 0.5000 x1
Dy 0.0000 0.5000 0.2487 x4
Y 0.0000 0.0000 0.5000 x1
Mg 0.5000 0.5000 0.0000 x1



Starting from a PBE-relaxed structure, the powder diffraction line list of PrDy2Y4Mg was simulated for Cu Kα X-rays.
No peak broadening, texture or thermal motion is included.

Peak list (6 most intense, 2θ = 5–70°, by angle)
- 2θ 30.77, I = 57
- 2θ 32.31, I = 100
- 2θ 44.07, I = 21
- 2θ 55.69, I = 42
- 2θ 58.58, I = 18
- 2θ 67.63, I = 12

Structural model:
abc: 5.8119 5.8119 7.5021
angles: 90.00 90.00 90.00
Space group P4/mmm (No. 123)
Unique sites:
Pr 0.0000 0.0000 0.0000 x1
Dy 0.0000 0.0000 0.5000 x1
Dy 0.5000 0.5000 0.5000 x1
Y 0.0000 0.5000 0.2452 x4
Mg 0.5000 0.5000 0.0000 x1



Starting from a PBE-relaxed structure, the powder diffraction line list of DyMg5Pt2 was simulated for Cu Kα X-rays.
No peak broadening, texture or thermal motion is included.

Peak list (6 most intense, 2θ = 5–70°, by angle)
- 2θ 13.94, I = 42
- 2θ 21.36, I = 65
- 2θ 30.25, I = 100
- 2θ 34.96, I = 34
- 2θ 42.71, I = 26
- 2θ 43.43, I = 61

Structural model:
abc: 4.1244 8.3202 9.8384
angles: 90.00 90.00 90.00
Space group Immm (No. 71)
Unique sites:
Dy 0.0000 0.0000 0.0000 x2
Mg 0.0000 0.1830 0.3376 x8
Mg 0.0000 0.5000 0.0000 x2
Pt 0.0000 0.5000 0.2772 x4



Starting from a PBE-relaxed structure, the powder diffraction line list of DyMgSc2Pt2 was simulated for Cu Kα X-rays.
No peak broadening, texture or thermal motion is included.

Peak list (6 most intense, 2θ = 5–70°, by angle)
- 2θ 25.86, I = 100
- 2θ 35.76, I = 82
- 2θ 38.01, I = 88
- 2θ 48.38, I = 22
- 2θ 53.17, I = 26
- 2θ 67.21, I = 26

Structural model:
abc: 4.7348 4.7348 6.3524
angles: 90.00 90.00 120.00
Space group P-3m1 (No. 164)
Unique sites:
Dy 0.0000 0.0000 0.0000 x1
Mg 0.0000 0.0000 0.5000 x1
Sc 0.3333 0.6667 0.6805 x2
Pt 0.3333 0.6667 0.2485 x2



Starting from a PBE-relaxed structure, the powder diffraction line list of Dy2PuMg6 was simulated for Cu Kα X-rays.
No peak broadening, texture or thermal motion is included.

Peak list (6 most intense, 2θ = 5–70°, by angle)
- 2θ 19.47, I = 100
- 2θ 34.07, I = 56
- 2θ 34.37, I = 87
- 2θ 44.69, I = 17
- 2θ 49.17, I = 32
- 2θ 61.17, I = 33

Structural model:
abc: 9.1169 9.1169 3.1816
angles: 90.00 90.00 120.00
Space group P6/mmm (No. 191)
Unique sites:
Dy 0.3333 0.6667 0.0000 x2
Pu 0.0000 0.0000 0.0000 x1
Mg 0.0000 0.3341 0.5000 x6



Starting from a PBE-relaxed structure, the powder diffraction line list of Dy3MgRh8 was simulated for Cu Kα X-rays.
No peak broadening, texture or thermal motion is included.

Peak list (6 most intense, 2θ = 5–70°, by angle)
- 2θ 33.83, I = 43
- 2θ 39.88, I = 100
- 2θ 39.94, I = 34
- 2θ 41.78, I = 35
- 2θ 64.59, I = 24
- 2θ 64.67, I = 16

Structural model:
abc: 5.2937 5.2937 26.0255
angles: 90.00 90.00 120.00
Space group R3m (No. 160, hexagonal axes)
Unique sites:
Dy 0.0000 0.0000 0.0000 x3
Dy 0.0000 0.0000 0.1278 x3
Dy 0.0000 0.0000 0.6204 x3
Mg 0.0000 0.0000 0.4977 x3
Rh 0.0000 0.0000 0.3118 x3
Rh 0.0000 0.0000 0.8120 x3
Rh 0.0003 0.5002 0.0624 x9
Rh 0.0009 0.5004 0.5613 x9



Starting from a PBE-relaxed structure, the powder diffraction line list of Dy12MgRu6 was simulated for Cu Kα X-rays.
No peak broadening, texture or thermal motion is included.

Peak list (6 most intense, 2θ = 5–70°, by angle)
- 2θ 28.07, I = 49
- 2θ 28.56, I = 95
- 2θ 30.18, I = 49
- 2θ 32.88, I = 48
- 2θ 33.99, I = 70
- 2θ 34.12, I = 100

Structural model:
abc: 13.9030 13.9030 8.8825
angles: 90.00 90.00 120.00
Space group R-3 (No. 148, hexagonal axes)
Unique sites:
Dy 0.0388 0.2628 0.4243 x18
Dy 0.0632 0.1831 0.8296 x18
Mg 0.0000 0.0000 0.5000 x3
Ru 0.0809 0.5037 0.7892 x18



Starting from a PBE-relaxed structure, the powder diffraction line list of SmDyMgRu was simulated for Cu Kα X-rays.
No peak broadening, texture or thermal motion is included.

Peak list (6 most intense, 2θ = 5–70°, by angle)
- 2θ 10.41, I = 88
- 2θ 25.96, I = 22
- 2θ 33.56, I = 100
- 2θ 37.04, I = 53
- 2θ 41.32, I = 45
- 2θ 64.55, I = 30

Structural model:
abc: 3.4323 3.4323 8.5013
angles: 90.00 90.00 90.00
Space group P4mm (No. 99)
Unique sites:
Sm 0.0000 0.0000 0.0000 x1
Dy 0.0000 0.0000 0.6046 x1
Mg 0.5000 0.5000 0.3074 x1
Ru 0.5000 0.5000 0.7959 x1



Starting from a PBE-relaxed structure, the powder diffraction line list of DyTmMgRu was simulated for Cu Kα X-rays.
No peak broadening, texture or thermal motion is included.

Peak list (6 most intense, 2θ = 5–70°, by angle)
- 2θ 10.98, I = 69
- 2θ 26.06, I = 25
- 2θ 34.40, I = 100
- 2θ 37.19, I = 53
- 2θ 42.81, I = 38
- 2θ 65.27, I = 31

Structural model:
abc: 3.4190 3.4190 8.0598
angles: 90.00 90.00 90.00
Space group P4mm (No. 99)
Unique sites:
Dy 0.0000 0.0000 0.0000 x1
Tm 0.0000 0.0000 0.5945 x1
Mg 0.5000 0.5000 0.3009 x1
Ru 0.5000 0.5000 0.7932 x1



Starting from a PBE-relaxed structure, the powder diffraction line list of Dy3Mg4S8 was simulated for Cu Kα X-rays.
No peak broadening, texture or thermal motion is included.

Peak list (6 most intense, 2θ = 5–70°, by angle)
- 2θ 14.23, I = 36
- 2θ 16.46, I = 70
- 2θ 23.26, I = 67
- 2θ 33.05, I = 51
- 2θ 33.25, I = 100
- 2θ 47.76, I = 52

Structural model:
abc: 10.7719 10.7828 7.6130
angles: 90.00 134.60 90.00
Space group C2/m (No. 12)
Unique sites:
Dy 0.0000 0.0000 0.0000 x2
Dy 0.2500 0.2500 0.5000 x4
Mg 0.0000 0.5000 0.0000 x2
Mg 0.0000 0.5000 0.5000 x2
Mg 0.2500 0.2500 0.0000 x4
S 0.0000 0.2556 0.0000 x4
S 0.0000 0.2571 0.5000 x4
S 0.2345 0.5000 0.9789 x4
S 0.2420 0.5000 0.4908 x4



Starting from a PBE-relaxed structure, the powder diffraction line list of Dy2MgS3 was simulated for Cu Kα X-rays.
No peak broadening, texture or thermal motion is included.

Peak list (6 most intense, 2θ = 5–70°, by angle)
- 2θ 10.72, I = 73
- 2θ 28.36, I = 88
- 2θ 32.54, I = 49
- 2θ 33.03, I = 100
- 2θ 47.04, I = 68
- 2θ 47.41, I = 35

Structural model:
abc: 3.8355 3.8355 16.5118
angles: 90.00 90.00 90.00
Space group I4/mmm (No. 139)
Unique sites:
Dy 0.0000 0.0000 0.1728 x4
Mg 0.0000 0.0000 0.5000 x2
S 0.0000 0.0000 0.0000 x2
S 0.0000 0.0000 0.3430 x4



Starting from a PBE-relaxed structure, the powder diffraction line list of Dy4YMgS8 was simulated for Cu Kα X-rays.
No peak broadening, texture or thermal motion is included.

Peak list (6 most intense, 2θ = 5–70°, by angle)
- 2θ 13.60, I = 33
- 2θ 26.20, I = 100
- 2θ 31.73, I = 36
- 2θ 41.61, I = 44
- 2θ 45.49, I = 62
- 2θ 63.34, I = 24

Structural model:
abc: 7.9758 7.9758 19.5331
angles: 90.00 90.00 120.00
Space group R3m (No. 160, hexagonal axes)
Unique sites:
Dy 0.0000 0.0000 0.0000 x3
Dy 0.1703 0.3405 0.2074 x9
Y 0.0000 0.0000 0.3777 x3
Mg 0.0000 0.0000 0.7500 x3
S 0.0000 0.0000 0.1334 x3
S 0.0000 0.0000 0.6212 x3
S 0.0095 0.5048 0.1264 x9
S 0.1777 0.3554 0.9554 x9